# Ho3MnTl4S8
Computed X-ray powder pattern, a wavelength of 1.5418 Å. Input: DFT lattice parameters and positions (PBE).
Neutral-atom scattering factors, no anomalous dispersion.

Principal peaks in the range 10° ≤ 2θ ≤ 90°, low angle first:
hkl 0 0 6, 23.87°, d 3.728, I 33
hkl 2 0 2, 27.37°, d 3.259, I 62
hkl 0 2 4, 30.73°, d 2.909, I 100
hkl 2 0 8, 41.80°, d 2.161, I 39
hkl 2 2 0, 46.15°, d 1.967, I 33
hkl 2 2 6, 52.61°, d 1.740, I 25

Structural model:
a b c (Å): 7.8671 7.8671 22.3656
angles (deg): 90.00 90.00 120.00
Space group R-3m (No. 166, hexagonal axes)
Inequivalent atoms, fractional coordinates:
Ho 0.0000 0.5000 0.0000 [9 per cell]
Mn 0.0000 0.0000 0.0000 [3 per cell]
Tl 0.0000 0.0000 0.5000 [3 per cell]
Tl 0.0000 0.5000 0.5000 [9 per cell]
S 0.0000 0.0000 0.2666 [6 per cell]
S 0.0182 0.5091 0.7306 [18 per cell]

=====

# YHo2MnS6
Computed X-ray powder pattern, a wavelength of 1.5418 Å. Input: DFT lattice parameters and positions (PBE).
Neutral-atom scattering factors, no anomalous dispersion.

Principal peaks in the range 10° ≤ 2θ ≤ 90°, low angle first:
hkl 1 1 1, 18.48°, d 4.800, I 100
hkl 1 0 1, 24.51°, d 3.631, I 67
hkl 1 1 -1, 25.23°, d 3.530, I 62
hkl -1 1 1, 25.99°, d 3.428, I 59
hkl 1 2 3, 40.93°, d 2.205, I 62
hkl 0 3 2, 45.97°, d 1.974, I 59

Structural model:
a b c (Å): 6.583 6.697 7.045
angles (deg): 62.26 89.82 62.25
Space group P1 (No. 1)
Inequivalent atoms, fractional coordinates:
Y 0.000 0.000 0.000 [1 per cell]
Ho 0.296 0.415 0.887 [1 per cell]
Ho 0.795 0.415 0.400 [1 per cell]
Mn 0.492 0.015 0.481 [1 per cell]
S 0.110 0.503 0.201 [1 per cell]
S 0.226 0.912 0.685 [1 per cell]
S 0.400 0.906 0.221 [1 per cell]
S 0.597 0.164 0.695 [1 per cell]
S 0.697 0.178 0.223 [1 per cell]
S 0.876 0.514 0.714 [1 per cell]